# 1
Computed X-ray powder pattern of Cd3Pd4 for Cu Kα, from the GGA-PBE geometry in Alexandria.
Neutral-atom scattering factors, no anomalous dispersion.

Principal peaks in the range 10 to 90 degrees two-theta, low angle first:
| Position (°2θ) | I_rel |
| --- | --- |
| 39.17 | 100 |
| 56.60 | 16 |
| 70.95 | 24 |
| 71.09 | 8 |
| 84.12 | 5 |
| 84.28 | 5 |

Structure:
Cell: 7.2770 7.2770 7.2770 Å, 113.61 113.61 113.61°
Sites, in units of the cell vectors:
Cd1 0.0591 0.7785 0.6381
Cd2 0.2215 0.3619 0.9409
Cd3 0.3619 0.9409 0.2215
Cd4 0.6381 0.0591 0.7785
Cd5 0.7785 0.6381 0.0591
Cd6 0.9409 0.2215 0.3619
Pd1 0.0000 0.0000 0.0000
Pd2 0.1378 0.5711 0.2822
Pd3 0.2822 0.1378 0.5711
Pd4 0.4289 0.7178 0.8622
Pd5 0.5000 0.5000 0.5000
Pd6 0.5711 0.2822 0.1378
Pd7 0.7178 0.8622 0.4289
Pd8 0.8622 0.4289 0.7178

---

# 2
Computed X-ray powder pattern of HfNiTe4 for Cu Kα, from the GGA-PBE geometry in Alexandria.
Neutral-atom scattering factors, no anomalous dispersion.

Principal peaks in the range 10 to 90 degrees two-theta, low angle first:
| Position (°2θ) | I_rel |
| --- | --- |
| 14.43 | 18 |
| 26.95 | 9 |
| 29.97 | 100 |
| 39.43 | 15 |
| 39.61 | 26 |
| 46.00 | 21 |
| 46.22 | 12 |
| 56.09 | 13 |

Structure:
Cell: 6.1383 3.9282 6.8461 Å, 90.00 90.53 90.00°
Sites, in units of the cell vectors:
Hf1 0.0000 0.0000 0.0000
Ni1 0.0000 0.5000 0.5000
Te1 0.2257 0.0000 0.3699
Te2 0.2970 0.5000 0.8438
Te3 0.7030 0.5000 0.1562
Te4 0.7743 0.0000 0.6301

---

# 3
Computed X-ray powder pattern of Hf5ZrN3 for Cu Kα, from the GGA-PBE geometry in Alexandria.
Neutral-atom scattering factors, no anomalous dispersion.

Principal peaks in the range 10 to 90 degrees two-theta, low angle first:
| Position (°2θ) | I_rel |
| --- | --- |
| 33.41 | 92 |
| 36.23 | 100 |
| 36.37 | 96 |
| 37.36 | 27 |
| 37.63 | 31 |
| 58.89 | 36 |
| 67.11 | 26 |
| 69.71 | 24 |

Structure:
Cell: 6.2806 6.2806 8.2883 Å, 110.65 110.65 73.93°
Sites, in units of the cell vectors:
Hf1 0.0683 0.0683 0.3633
Hf2 0.1297 0.5381 0.3326
Hf3 0.2044 0.7956 0.0000
Hf4 0.2650 0.2650 0.9693
Hf5 0.4619 0.8703 0.6674
Hf6 0.5381 0.1297 0.3326
Hf7 0.7350 0.7350 0.0307
Hf8 0.7956 0.2044 0.0000
Hf9 0.8703 0.4619 0.6674
Hf10 0.9317 0.9317 0.6367
Zr1 0.4003 0.4003 0.6957
Zr2 0.5997 0.5997 0.3043
N1 0.1630 0.1630 0.6662
N2 0.1671 0.1671 0.1665
N3 0.5000 0.5000 0.0000
N4 0.5000 0.5000 0.5000
N5 0.8329 0.8329 0.8335
N6 0.8370 0.8370 0.3338

---

# 4
Computed X-ray powder pattern of Ho7Tm for Cu Kα, from the GGA-PBE geometry in Alexandria.
Neutral-atom scattering factors, no anomalous dispersion.

Principal peaks in the range 10 to 90 degrees two-theta, low angle first:
| Position (°2θ) | I_rel |
| --- | --- |
| 31.08 | 75 |
| 32.33 | 100 |
| 32.60 | 47 |
| 33.07 | 49 |
| 47.12 | 32 |
| 57.23 | 21 |
| 59.37 | 25 |
| 62.80 | 31 |

Structure:
Cell: 3.5011 10.9868 12.8225 Å, 90.00 90.00 90.00°
Sites, in units of the cell vectors:
Ho1 0.0000 0.0000 0.0000
Ho2 0.0000 0.0000 0.2600
Ho3 0.0000 0.0000 0.7400
Ho4 0.0000 0.2683 0.3674
Ho5 0.0000 0.2683 0.6326
Ho6 0.0000 0.7317 0.3674
Ho7 0.0000 0.7317 0.6326
Ho8 0.5000 0.2317 0.1326
Ho9 0.5000 0.2317 0.8674
Ho10 0.5000 0.5000 0.2400
Ho11 0.5000 0.5000 0.5000
Ho12 0.5000 0.5000 0.7600
Ho13 0.5000 0.7683 0.1326
Ho14 0.5000 0.7683 0.8674
Tm1 0.0000 0.5000 0.0000
Tm2 0.5000 0.0000 0.5000

---

# 5
Computed X-ray powder pattern of La2Ho3Th3 for Cu Kα, from the GGA-PBE geometry in Alexandria.
Neutral-atom scattering factors, no anomalous dispersion.

Principal peaks in the range 10 to 90 degrees two-theta, low angle first:
| Position (°2θ) | I_rel |
| --- | --- |
| 29.93 | 100 |
| 31.23 | 91 |
| 33.28 | 37 |
| 34.06 | 20 |
| 38.85 | 37 |
| 48.36 | 20 |
| 58.97 | 30 |
| 59.20 | 27 |

Structure:
Cell: 9.1195 9.1195 3.6799 Å, 90.00 90.00 120.00°
Sites, in units of the cell vectors:
La1 0.3333 0.6667 0.0000
La2 0.6667 0.3333 0.0000
Ho1 0.0000 0.6095 0.5000
Ho2 0.3905 0.3905 0.5000
Ho3 0.6095 0.0000 0.5000
Th1 0.0000 0.2251 0.0000
Th2 0.2251 0.0000 0.0000
Th3 0.7749 0.7749 0.0000

---

# 6
Computed X-ray powder pattern of Li6UO6 for Cu Kα, from the GGA-PBE geometry in Alexandria.
Neutral-atom scattering factors, no anomalous dispersion.

Principal peaks in the range 10 to 90 degrees two-theta, low angle first:
| Position (°2θ) | I_rel |
| --- | --- |
| 16.95 | 100 |
| 20.99 | 39 |
| 26.81 | 29 |
| 27.10 | 39 |
| 34.53 | 17 |
| 40.55 | 30 |
| 42.14 | 17 |
| 46.28 | 16 |

Structure:
Cell: 5.4843 5.4843 5.4843 Å, 101.04 101.04 101.04°
Sites, in units of the cell vectors:
Li1 0.0000 0.3542 0.6458
Li2 0.0000 0.6458 0.3542
Li3 0.3542 0.0000 0.6458
Li4 0.3542 0.6458 0.0000
Li5 0.6458 0.0000 0.3542
Li6 0.6458 0.3542 0.0000
U1 0.0000 0.0000 0.0000
O1 0.1004 0.7313 0.7313
O2 0.2687 0.2687 0.8996
O3 0.2687 0.8996 0.2687
O4 0.7313 0.1004 0.7313
O5 0.7313 0.7313 0.1004
O6 0.8996 0.2687 0.2687

---

# 7
Computed X-ray powder pattern of LiBS2 for Cu Kα, from the GGA-PBE geometry in Alexandria.
Neutral-atom scattering factors, no anomalous dispersion.

Principal peaks in the range 10 to 90 degrees two-theta, low angle first:
| Position (°2θ) | I_rel |
| --- | --- |
| 25.43 | 55 |
| 29.83 | 100 |
| 30.44 | 69 |
| 30.96 | 21 |
| 40.48 | 19 |
| 45.69 | 17 |
| 54.77 | 31 |
| 56.22 | 22 |

Structure:
Cell: 5.7766 6.8190 4.0818 Å, 90.00 90.00 90.00°
Sites, in units of the cell vectors:
Li1 0.0000 0.0000 0.2494
Li2 0.5000 0.5000 0.7506
B1 0.0000 0.5000 0.2504
B2 0.5000 0.0000 0.7496
S1 0.2337 0.6467 0.2504
S2 0.2663 0.1467 0.7496
S3 0.7337 0.8533 0.7496
S4 0.7663 0.3533 0.2504